Calculated PXRD pattern
Compound: Tl2WOF5
Radiation: a wavelength of 1.5418 Å
Structure: a GGA+U-relaxed structure
No peak broadening, texture or thermal motion is included.

```
Tl2WOF5
1.0
-3.113 3.113 4.699
3.113 -3.113 4.699
3.113 3.113 -4.699
Tl W O F
2 1 1 5
Direct
0.000 0.500 0.500
0.500 0.000 0.500
0.263 0.263 0.000
0.073 0.073 0.000
0.064 0.064 0.548
0.064 0.516 0.000
0.481 0.481 0.000
0.516 0.064 0.000
0.516 0.516 0.452
```

Largest 12 diffraction maxima, low angle first, 5° ≤ 2θ ≤ 70°:
2θ (°)	Rel. int.
17.09	45
27.77	100
28.68	45
33.57	13
34.57	19
38.31	15
41.01	28
48.55	22
50.25	40
57.36	18
59.37	12
62.98	12